Calculated powder XRD pattern of KLaYNbO6 for a wavelength of 1.5418 Å, from a crystal structure in the Materials Project, relaxed with PBE.
Kinematic intensities with the Lorentz-polarization factor, no thermal factor.

Structure:
Cell: 8.4203 8.4203 8.4203 Å, 90.00 90.00 90.00°
Space group F-43m (No. 216)
Symmetry-distinct sites (fractional):
1 K 0.0000 0.0000 0.0000 x4
2 La 0.0000 0.0000 0.5000 x4
3 Y 0.2500 0.2500 0.7500 x4
4 Nb 0.2500 0.2500 0.2500 x4
5 O 0.0123 0.2500 0.2500 x24

Main lines, sorted by position (2θ from 10° to 80°):
hkl 1 1 1, 18.25°, rel. 18
hkl 2 2 0, 30.02°, rel. 100
hkl 3 1 1, 35.35°, rel. 11
hkl 4 0 0, 42.97°, rel. 35
hkl 4 2 2, 53.30°, rel. 39
hkl 4 4 0, 62.39°, rel. 21
hkl 6 2 0, 70.77°, rel. 17
hkl 4 4 4, 78.74°, rel. 7